[1]
Structure and computed XRD peak list of Tb6Pm4Zr (the GGA-PBE geometry in Alexandria; Cu Kα).

Main lines, by angle (2θ from 10° to 80°):
d = 2.977 Å, 2θ = 30.0°, I 100, (2 1 2)
d = 2.755 Å, 2θ = 32.5°, I 55, (3 1 0)
d = 2.414 Å, 2θ = 37.2°, I 10, (2 1 3)
d = 2.307 Å, 2θ = 39.0°, I 11, (0 0 4)
d = 1.921 Å, 2θ = 47.3°, I 11, (4 1 2)
d = 1.769 Å, 2θ = 51.7°, I 12, (3 1 4)
d = 1.527 Å, 2θ = 60.7°, I 20, (5 2 2)
d = 1.431 Å, 2θ = 65.2°, I 13, (2 1 6)

Cell and atoms:
```
Tb6Pm4Zr
1.0
8.712 0.000 0.000
0.000 8.712 0.000
0.000 0.000 9.227
Tb Pm Zr
12 8 2
Direct
0.000 0.000 0.176
0.000 0.000 0.824
0.152 0.342 0.500
0.158 0.348 0.000
0.342 0.848 0.500
0.348 0.842 0.000
0.500 0.500 0.324
0.500 0.500 0.676
0.652 0.158 0.000
0.658 0.152 0.500
0.842 0.652 0.000
0.848 0.658 0.500
0.144 0.644 0.250
0.144 0.644 0.750
0.356 0.144 0.250
0.356 0.144 0.750
0.644 0.856 0.250
0.644 0.856 0.750
0.856 0.356 0.250
0.856 0.356 0.750
0.000 0.000 0.500
0.500 0.500 0.000
```



[2]
Structure and computed XRD peak list of Er3Zn2In2 (the GGA-PBE geometry in Alexandria; Cu Kα).

Main lines, by angle (2θ from 10° to 80°):
d = 3.043 Å, 2θ = 29.3°, I 24, (1 5 0)
d = 2.714 Å, 2θ = 33.0°, I 74, (1 1 1)
d = 2.492 Å, 2θ = 36.0°, I 100, (0 6 1)
d = 2.182 Å, 2θ = 41.4°, I 24, (2 0 0)
d = 1.757 Å, 2θ = 52.1°, I 12, (0 0 2)
d = 1.642 Å, 2θ = 56.0°, I 31, (2 6 1)
d = 1.435 Å, 2θ = 65.0°, I 15, (1 7 2)
d = 1.402 Å, 2θ = 66.7°, I 13, (1 13 1)

Cell and atoms:
```
Er3Zn2In2
1.0
4.365 0.000 0.000
0.000 21.224 0.000
0.000 0.000 3.513
Er Zn In
6 4 4
Direct
0.000 0.000 0.000
0.000 0.165 0.000
0.000 0.835 0.000
0.500 0.335 0.000
0.500 0.500 0.000
0.500 0.665 0.000
0.000 0.281 0.500
0.000 0.719 0.500
0.500 0.219 0.500
0.500 0.781 0.500
0.000 0.418 0.500
0.000 0.582 0.500
0.500 0.082 0.500
0.500 0.918 0.500
```



[3]
Structure and computed XRD peak list of LiHf2AlN (the GGA-PBE geometry in Alexandria; Cu Kα).

Main lines, by angle (2θ from 10° to 80°):
d = 4.061 Å, 2θ = 21.9°, I 74, (0 0 1)
d = 3.101 Å, 2θ = 28.8°, I 63, (1 1 0)
d = 2.465 Å, 2θ = 36.5°, I 100, (1 1 1)
d = 2.193 Å, 2θ = 41.2°, I 41, (2 0 0)
d = 1.930 Å, 2θ = 47.1°, I 39, (2 0 1)
d = 1.699 Å, 2θ = 54.0°, I 23, (1 1 2)
d = 1.490 Å, 2θ = 62.3°, I 24, (2 0 2)
d = 1.312 Å, 2θ = 71.9°, I 28, (3 1 1)

Cell and atoms:
```
LiHf2AlN
1.0
4.386 0.000 0.000
0.000 4.386 0.000
0.000 0.000 4.061
Li Hf Al N
1 2 1 1
Direct
0.000 0.000 0.000
0.000 0.500 0.500
0.500 0.000 0.500
0.500 0.500 0.000
0.000 0.000 0.500
```